This entry pairs a crystal structure of K5Nb4O12F with its theoretical X-ray diffraction stick pattern. Radiation: Cu Kα X-rays. Structure: a structure optimized by DFT (PBE).
Neutral-atom scattering factors, no anomalous dispersion.

Largest 6 diffraction maxima, low angle first, 2θ = 10–90°:
2theta, I (rel.), index
10.6, 100, 0 1 1
15.0, 34, 0 2 0
27.9, 40, 1 0 2
28.7, 79, 1 3 -1
29.5, 43, 1 0 -4
32.3, 41, 0 3 3

Structure:
Cell: 5.1087 11.7655 12.5929 Å, 90.00 110.64 90.00°
Element x y z (fractional)
K: 0.0000 0.0000 0.0000
K: 0.0000 0.5000 0.5000
K: 0.2699 0.1430 0.8286
K: 0.2699 0.3570 0.3286
K: 0.4118 0.6708 0.3527
K: 0.4118 0.8292 0.8527
K: 0.5882 0.1708 0.1473
K: 0.5882 0.3292 0.6473
K: 0.7301 0.6430 0.6714
K: 0.7301 0.8570 0.1714
Nb: 0.0665 0.6454 0.0237
Nb: 0.0665 0.8546 0.5237
Nb: 0.3286 0.0124 0.3526
Nb: 0.3286 0.4876 0.8526
Nb: 0.6714 0.5124 0.1474
Nb: 0.6714 0.9876 0.6474
Nb: 0.9335 0.1454 0.4763
Nb: 0.9335 0.3546 0.9763
O: 0.0013 0.6040 0.1738
O: 0.0013 0.8960 0.6738
O: 0.0832 0.2143 0.9987
O: 0.0832 0.2857 0.4987
O: 0.1501 0.6314 0.8813
O: 0.1501 0.8686 0.3813
O: 0.2827 0.0416 0.5389
O: 0.2827 0.4584 0.0389
O: 0.3223 0.5236 0.7127
O: 0.3223 0.9764 0.2127
O: 0.4533 0.6649 0.1229
O: 0.4533 0.8351 0.6229
O: 0.5467 0.1649 0.3771
O: 0.5467 0.3351 0.8771
O: 0.6777 0.0236 0.7873
O: 0.6777 0.4764 0.2873
O: 0.7173 0.5416 0.9611
O: 0.7173 0.9584 0.4611
O: 0.8499 0.1314 0.6187
O: 0.8499 0.3686 0.1187
O: 0.9168 0.7143 0.5013
O: 0.9168 0.7857 0.0013
O: 0.9987 0.1040 0.3262
O: 0.9987 0.3960 0.8262
F: 0.5000 0.0000 0.0000
F: 0.5000 0.5000 0.5000